No. 1
Structure and computed X-ray diffraction stick pattern of NdSm5Te8 (the PBE geometry in Alexandria; Cu Kα X-rays).

Top 10 peaks for 15 to 90 degrees two-theta, low angle first:
d 3.070, 2θ = 29.1°, intensity 54; d 3.053, 2θ = 29.2°, intensity 100; d 2.930, 2θ = 30.5°, intensity 65; d 2.585, 2θ = 34.7°, intensity 45; d 2.555, 2θ = 35.1°, intensity 67; d 2.508, 2θ = 35.8°, intensity 35; d 2.082, 2θ = 43.5°, intensity 18; d 2.025, 2θ = 44.8°, intensity 18; d 1.964, 2θ = 46.2°, intensity 20; d 1.900, 2θ = 47.9°, intensity 37

Structural model:
```
NdSm5Te8
1.0
-4.854 4.854 4.610
4.854 -4.854 4.610
4.854 4.854 -4.610
Nd Sm Te
1 5 8
direct
0.000 0.000 0.000 Nd
0.213 0.124 0.587 Sm
0.374 0.787 0.911 Sm
0.537 0.626 0.413 Sm
0.750 0.250 0.500 Sm
0.876 0.463 0.089 Sm
0.124 0.382 0.391 Te
0.130 0.373 0.887 Te
0.267 0.876 0.258 Te
0.486 0.243 0.113 Te
0.618 0.009 0.742 Te
0.627 0.514 0.757 Te
0.757 0.870 0.243 Te
0.991 0.733 0.609 Te
```



No. 2
Structure and computed X-ray diffraction stick pattern of NdSm2Th3Te6 (the PBE geometry in Alexandria; Cu Kα X-rays).

Top 10 peaks for 15 to 90 degrees two-theta, low angle first:
d 3.150, 2θ = 28.3°, intensity 100; d 2.304, 2θ = 39.1°, intensity 28; d 2.264, 2θ = 39.8°, intensity 13; d 2.193, 2θ = 41.2°, intensity 12; d 2.157, 2θ = 41.9°, intensity 23; d 1.927, 2θ = 47.2°, intensity 8; d 1.800, 2θ = 50.7°, intensity 13; d 1.575, 2θ = 58.6°, intensity 13; d 1.447, 2θ = 64.4°, intensity 13; d 1.373, 2θ = 68.3°, intensity 11

Structural model:
```
NdSm2Th3Te6
1.0
9.965 -2.193 0.000
9.965 2.193 0.000
-2.898 0.000 8.622
Nd Sm Th Te
1 2 3 6
direct
0.000 0.000 0.000 Nd
0.333 0.333 0.668 Sm
0.667 0.667 0.332 Sm
0.000 0.000 0.500 Th
0.335 0.335 0.170 Th
0.665 0.665 0.830 Th
0.167 0.167 0.086 Te
0.168 0.168 0.578 Te
0.498 0.498 0.750 Te
0.502 0.502 0.250 Te
0.832 0.832 0.422 Te
0.833 0.833 0.914 Te
```



No. 3
Structure and computed X-ray diffraction stick pattern of Nd3Sm4Th (the PBE geometry in Alexandria; Cu Kα X-rays).

Top 10 peaks for 15 to 90 degrees two-theta, low angle first:
d 3.177, 2θ = 28.1°, intensity 15; d 3.127, 2θ = 28.5°, intensity 28; d 2.964, 2θ = 30.1°, intensity 100; d 2.833, 2θ = 31.6°, intensity 44; d 2.771, 2θ = 32.3°, intensity 19; d 2.738, 2θ = 32.7°, intensity 53; d 2.453, 2θ = 36.6°, intensity 20; d 2.100, 2θ = 43.1°, intensity 18; d 1.597, 2θ = 57.7°, intensity 13; d 1.507, 2θ = 61.5°, intensity 27

Structural model:
```
Nd3Sm4Th
1.0
23.706 0.000 0.000
0.000 3.501 0.000
-2.036 0.000 6.652
Nd Sm Th
6 8 2
direct
0.000 0.000 0.000 Nd
0.123 0.000 0.860 Nd
0.377 0.500 0.140 Nd
0.500 0.500 0.000 Nd
0.623 0.500 0.860 Nd
0.877 0.000 0.140 Nd
0.123 0.000 0.387 Sm
0.243 0.500 0.740 Sm
0.257 0.000 0.260 Sm
0.377 0.500 0.613 Sm
0.623 0.500 0.387 Sm
0.743 0.000 0.740 Sm
0.757 0.500 0.260 Sm
0.877 0.000 0.613 Sm
0.000 0.500 0.500 Th
0.500 0.000 0.500 Th
```



No. 4
Structure and computed X-ray diffraction stick pattern of Nd6Sm2Th (the PBE geometry in Alexandria; Cu Kα X-rays).

Top 10 peaks for 15 to 90 degrees two-theta, low angle first:
d 3.161, 2θ = 28.2°, intensity 45; d 3.038, 2θ = 29.4°, intensity 47; d 2.869, 2θ = 31.2°, intensity 65; d 2.737, 2θ = 32.7°, intensity 100; d 2.190, 2θ = 41.2°, intensity 30; d 1.825, 2θ = 50.0°, intensity 35; d 1.661, 2θ = 55.3°, intensity 31; d 1.565, 2θ = 59.0°, intensity 40; d 1.519, 2θ = 61.0°, intensity 23; d 1.167, 2θ = 82.7°, intensity 26

Structural model:
```
Nd6Sm2Th
1.0
3.650 0.000 0.000
-1.825 3.161 0.000
0.000 0.000 27.338
Nd Sm Th
6 2 1
direct
0.000 0.000 0.064 Nd
0.000 0.000 0.281 Nd
0.000 0.000 0.719 Nd
0.000 0.000 0.936 Nd
0.333 0.667 0.392 Nd
0.333 0.667 0.608 Nd
0.333 0.667 0.170 Sm
0.333 0.667 0.830 Sm
0.000 0.000 0.500 Th
```



No. 5
Structure and computed X-ray diffraction stick pattern of NdSmTh14 (the PBE geometry in Alexandria; Cu Kα X-rays).

Top 10 peaks for 15 to 90 degrees two-theta, low angle first:
d 3.114, 2θ = 28.7°, intensity 10; d 3.008, 2θ = 29.7°, intensity 38; d 2.908, 2θ = 30.8°, intensity 33; d 2.745, 2θ = 32.6°, intensity 100; d 2.428, 2θ = 37.0°, intensity 21; d 1.798, 2θ = 50.8°, intensity 26; d 1.646, 2θ = 55.9°, intensity 22; d 1.529, 2θ = 60.5°, intensity 30; d 1.504, 2θ = 61.7°, intensity 17; d 1.130, 2θ = 86.0°, intensity 12

Structural model:
```
NdSmTh14
1.0
11.630 0.000 0.000
0.000 3.593 6.233
0.000 -3.593 6.233
Nd Sm Th
1 1 14
direct
0.000 0.000 0.000 Nd
0.000 0.500 0.500 Sm
0.000 0.497 0.998 Th
0.000 0.998 0.497 Th
0.251 0.666 0.666 Th
0.252 0.165 0.665 Th
0.252 0.166 0.166 Th
0.252 0.665 0.165 Th
0.500 0.332 0.332 Th
0.500 0.332 0.832 Th
0.500 0.832 0.332 Th
0.500 0.832 0.832 Th
0.748 0.165 0.665 Th
0.748 0.166 0.166 Th
0.748 0.665 0.165 Th
0.749 0.666 0.666 Th
```



No. 6
Structure and computed X-ray diffraction stick pattern of Nd7SmTh2 (the PBE geometry in Alexandria; Cu Kα X-rays).

Top 10 peaks for 15 to 90 degrees two-theta, low angle first:
d 5.677, 2θ = 15.6°, intensity 55; d 4.456, 2θ = 19.9°, intensity 26; d 3.375, 2θ = 26.4°, intensity 22; d 3.055, 2θ = 29.2°, intensity 49; d 2.839, 2θ = 31.5°, intensity 49; d 2.749, 2θ = 32.6°, intensity 100; d 2.600, 2θ = 34.5°, intensity 49; d 2.080, 2θ = 43.5°, intensity 34; d 1.522, 2θ = 60.9°, intensity 22; d 1.517, 2θ = 61.1°, intensity 22

Structural model:
```
Nd7SmTh2
1.0
4.456 -8.394 0.000
4.456 8.394 0.000
0.000 0.000 5.677
Nd Sm Th
7 1 2
direct
0.000 0.000 0.000 Nd
0.208 0.435 0.000 Nd
0.279 0.721 0.500 Nd
0.435 0.208 0.000 Nd
0.565 0.792 0.000 Nd
0.721 0.279 0.500 Nd
0.792 0.565 0.000 Nd
0.500 0.500 0.500 Sm
0.203 0.797 0.000 Th
0.797 0.203 0.000 Th
```



> Number 3 is which compound?

Nd3Sm4Th



Repeat the fourth record exactly.
Structure and computed X-ray diffraction stick pattern of Nd6Sm2Th (the PBE geometry in Alexandria; Cu Kα X-rays).

Top 10 peaks for 15 to 90 degrees two-theta, low angle first:
d 3.161, 2θ = 28.2°, intensity 45; d 3.038, 2θ = 29.4°, intensity 47; d 2.869, 2θ = 31.2°, intensity 65; d 2.737, 2θ = 32.7°, intensity 100; d 2.190, 2θ = 41.2°, intensity 30; d 1.825, 2θ = 50.0°, intensity 35; d 1.661, 2θ = 55.3°, intensity 31; d 1.565, 2θ = 59.0°, intensity 40; d 1.519, 2θ = 61.0°, intensity 23; d 1.167, 2θ = 82.7°, intensity 26

Structural model:
```
Nd6Sm2Th
1.0
3.650 0.000 0.000
-1.825 3.161 0.000
0.000 0.000 27.338
Nd Sm Th
6 2 1
direct
0.000 0.000 0.064 Nd
0.000 0.000 0.281 Nd
0.000 0.000 0.719 Nd
0.000 0.000 0.936 Nd
0.333 0.667 0.392 Nd
0.333 0.667 0.608 Nd
0.333 0.667 0.170 Sm
0.333 0.667 0.830 Sm
0.000 0.000 0.500 Th
```